Structure and computed X-ray powder pattern of CaV8O8F8 (a cell relaxed with PBE+U; Cu Kα X-rays).
Lines closer than 0.1° are merged.

Cell and atoms:
Cell: 4.901 5.742 10.832 Å, 94.70 91.30 90.18°
Space group P1 (No. 1)
Symmetry-distinct sites (fractional):
1 Ca 0.000 0.000 0.000 x1
2 V 0.019 0.566 0.835 x1
3 V 0.460 0.641 0.373 x1
4 V 0.470 0.359 0.605 x1
5 V 0.496 0.118 0.877 x1
6 V 0.510 0.911 0.166 x1
7 V 0.962 0.149 0.400 x1
8 V 0.976 0.872 0.636 x1
9 V 0.986 0.427 0.140 x1
10 O 0.140 0.346 0.949 x1
11 O 0.193 0.591 0.681 x1
12 O 0.284 0.647 0.213 x1
13 O 0.287 0.353 0.447 x1
14 O 0.626 0.163 0.070 x1
15 O 0.686 0.930 0.323 x1
16 O 0.793 0.149 0.563 x1
17 O 0.833 0.877 0.809 x1
18 F 0.154 0.122 0.214 x1
19 F 0.178 0.864 0.463 x1
20 F 0.293 0.089 0.696 x1
21 F 0.342 0.792 0.932 x1
22 F 0.665 0.394 0.784 x1
23 F 0.680 0.651 0.548 x1
24 F 0.779 0.696 0.071 x1
25 F 0.783 0.429 0.315 x1

Top 10 peaks for 15° ≤ 2θ ≤ 90°, sorted by position:
- hkl -1 1 1, 25.54°, I 95
- hkl 1 1 1, 25.92°, I 100
- hkl 1 1 -3, 33.44°, I 36
- hkl 1 -1 3, 33.99°, I 31
- hkl 0 2 -2, 34.24°, I 24
- hkl 2 0 0, 36.71°, I 27
- hkl 2 2 -2, 50.89°, I 27
- hkl 1 3 -1, 51.46°, I 46
- hkl 2 2 2, 53.30°, I 24
- hkl 0 2 -6, 58.31°, I 27